[1]
This entry pairs a crystal structure of BaSnBr4 with its theoretical PXRD pattern. Radiation: Cu Kα, 1.54184 Å. Structure: a GGA-PBE-relaxed structure.
Peak positions follow from Bragg's law for the DFT cell and can differ from measured ones.

Most intense lines, 10° ≤ 2θ ≤ 90°, in order of rising 2θ:
2θ = 20.1°, rel. 349, (1 1 1)
2θ = 20.5°, rel. 342, (3 1 -1)
2θ = 32.8°, rel. 265, (2 0 2)
2θ = 33.5°, rel. 1000, (4 2 0)
2θ = 34.0°, rel. 239, (6 0 -2)
2θ = 47.9°, rel. 89, (8 0 0)
2θ = 48.1°, rel. 167, (0 4 0)
2θ = 58.9°, rel. 91, (6 2 2)
2θ = 59.1°, rel. 90, (0 2 4)
2θ = 80.3°, rel. 99, (4 6 0)

Crystal structure
Lattice parameters (Å, degrees): 16.748 7.561 7.569 90.00 114.86 90.00
Space group C2/c (No. 15)
Asymmetric unit:
Ba: 0.000 0.248 0.250 (multiplicity 4)
Sn: 0.250 0.250 0.000 (multiplicity 4)
Br: 0.129 0.485 0.104 (multiplicity 8)
Br: 0.133 0.017 0.642 (multiplicity 8)

[2]
This entry pairs a crystal structure of NbPd2Ru with its theoretical PXRD pattern. Radiation: Cu Kα, 1.54184 Å. Structure: a GGA-PBE-relaxed structure.
Peak positions follow from Bragg's law for the DFT cell and can differ from measured ones.

Most intense lines, 10° ≤ 2θ ≤ 90°, in order of rising 2θ:
2θ = 39.4°, rel. 1000, (1 1 2)
2θ = 43.8°, rel. 180, (0 0 4)
2θ = 46.0°, rel. 161, (2 0 0)
2θ = 47.6°, rel. 145, (0 2 0)
2θ = 65.4°, rel. 106, (2 0 4)
2θ = 66.7°, rel. 100, (0 2 4)
2θ = 77.6°, rel. 124, (1 1 6)
2θ = 80.7°, rel. 119, (3 1 2)
2θ = 83.1°, rel. 111, (1 3 2)
2θ = 84.9°, rel. 103, (2 2 4)

Crystal structure
Lattice parameters (Å, degrees): 3.945 3.818 8.261 90.00 90.00 90.00
Space group Pmma (No. 51)
Asymmetric unit:
Nb: 0.250 0.000 0.138 (multiplicity 2)
Pd: 0.250 0.000 0.632 (multiplicity 2)
Pd: 0.250 0.500 0.374 (multiplicity 2)
Ru: 0.250 0.500 0.873 (multiplicity 2)